# Ca2Mn2O5
Theoretical powder diffractogram, Cu Ka. Input: a structure optimized by DFT (GGA+U).

Largest 6 diffraction maxima, in order of falling intensity, 15 to 90 degrees two-theta:
| 2theta | I_rel | index |
| --- | --- | --- |
| 31.78 | 100.0 | 2 1 1 |
| 48.42 | 25.4 | 0 2 2 |
| 59.79 | 14.3 | 2 1 3 |
| 58.37 | 14.0 | 2 3 1 |
| 33.16 | 14.0 | 0 2 0 |
| 42.56 | 12.7 | 4 0 0 |

Cell and atoms:
```
Ca2Mn2O5
1.0
8.4970 0.0000 0.0000
0.0000 5.4032 0.0000
0.0000 0.0000 5.2358
Ca Mn O
4 4 10
Direct
0.0000 0.2095 0.0000
0.0000 0.7240 0.4162
0.5000 0.2760 0.9162
0.5000 0.7905 0.5000
0.2277 0.7509 0.9495
0.2723 0.2491 0.4495
0.7277 0.2491 0.4495
0.7723 0.7509 0.9495
0.0000 0.7911 0.8359
0.1844 0.4764 0.1931
0.1863 0.9818 0.2426
0.3137 0.0182 0.7426
0.3156 0.5236 0.6931
0.5000 0.2089 0.3359
0.6844 0.5236 0.6931
0.6863 0.0182 0.7426
0.8137 0.9818 0.2426
0.8156 0.4764 0.1931
```